No. 1
Structure and simulated powder XRD pattern of Na2TiCdF8 (a cell relaxed with PBE; Cu Kα (weighted mean of Kα1 and Kα2)).
Kinematic intensities with the Lorentz-polarization factor, no thermal factor.

Largest 10 diffraction maxima, by angle, 2θ = 10–90°:
| hkl | Position (°2θ) | Rel. int. |
| --- | --- | --- |
| 0 0 1 | 17.49 | 67 |
| 1 0 0 | 17.59 | 65 |
| 1 0 -1 | 24.40 | 100 |
| 1 0 1 | 25.41 | 74 |
| 0 2 0 | 25.59 | 25 |
| 1 2 0 | 31.20 | 100 |
| 1 2 -1 | 35.65 | 72 |
| 1 2 -2 | 47.34 | 34 |
| 2 2 -1 | 47.47 | 34 |
| 2 2 1 | 48.61 | 25 |

Structure:
a b c (Å): 5.045 6.962 5.074
angles (deg): 90.00 92.29 90.00
Space group P2/m (No. 10)
Unique sites:
Na1 0.000 0.248 0.000 [2 per cell]
Ti1 0.500 0.000 0.500 [1 per cell]
Cd1 0.500 0.500 0.500 [1 per cell]
F1 0.204 0.500 0.204 [2 per cell]
F2 0.232 0.000 0.231 [2 per cell]
F3 0.320 0.200 0.678 [4 per cell]



No. 2
Structure and simulated powder XRD pattern of LaHgAs2 (a cell relaxed with PBE; Cu Kα (weighted mean of Kα1 and Kα2)).
Kinematic intensities with the Lorentz-polarization factor, no thermal factor.

Largest 10 diffraction maxima, by angle, 2θ = 10–90°:
| hkl | Position (°2θ) | Rel. int. |
| --- | --- | --- |
| 0 1 1 | 20.64 | 11 |
| 1 0 1 | 23.26 | 18 |
| 0 1 3 | 32.37 | 19 |
| 1 1 2 | 33.72 | 100 |
| 0 0 4 | 35.15 | 16 |
| 0 2 0 | 37.91 | 21 |
| 2 0 0 | 43.90 | 14 |
| 2 2 0 | 59.37 | 11 |
| 1 3 2 | 65.82 | 14 |
| 3 1 2 | 74.16 | 10 |

Structure:
a b c (Å): 4.125 4.746 10.212
angles (deg): 90.00 90.00 90.00
Space group Imm2 (No. 44)
Unique sites:
La1 0.000 0.000 0.000 [2 per cell]
Hg1 0.000 0.500 0.227 [2 per cell]
As1 0.000 0.000 0.490 [2 per cell]
As2 0.000 0.500 0.809 [2 per cell]



No. 3
Structure and simulated powder XRD pattern of Nd4GeO8 (a cell relaxed with PBE; Cu Kα (weighted mean of Kα1 and Kα2)).
Kinematic intensities with the Lorentz-polarization factor, no thermal factor.

Largest 10 diffraction maxima, by angle, 2θ = 10–90°:
| hkl | Position (°2θ) | Rel. int. |
| --- | --- | --- |
| 5 0 1 | 28.30 | 100 |
| 1 2 1 | 28.97 | 100 |
| 4 2 0 | 30.47 | 25 |
| 5 1 1 | 30.76 | 19 |
| 0 0 2 | 31.44 | 29 |
| 6 2 0 | 37.28 | 17 |
| 4 2 2 | 44.34 | 43 |
| 0 4 0 | 48.73 | 17 |
| 6 2 2 | 49.55 | 19 |
| 5 4 1 | 57.31 | 26 |

Structure:
a b c (Å): 18.944 7.475 5.691
angles (deg): 90.00 90.00 90.00
Space group Pnma (No. 62)
Unique sites:
Nd1 0.019 0.250 0.022 [4 per cell]
Nd2 0.099 0.006 0.526 [8 per cell]
Nd3 0.216 0.250 0.026 [4 per cell]
Ge1 0.181 0.750 0.987 [4 per cell]
O1 0.008 0.522 0.260 [8 per cell]
O2 0.102 0.750 0.812 [4 per cell]
O3 0.120 0.250 0.271 [4 per cell]
O4 0.122 0.250 0.771 [4 per cell]
O5 0.165 0.750 0.298 [4 per cell]
O6 0.227 0.561 0.873 [8 per cell]



No. 4
Structure and simulated powder XRD pattern of Nd4YHo (a cell relaxed with PBE; Cu Kα (weighted mean of Kα1 and Kα2)).
Kinematic intensities with the Lorentz-polarization factor, no thermal factor.

Largest 10 diffraction maxima, by angle, 2θ = 10–90°:
| hkl | Position (°2θ) | Rel. int. |
| --- | --- | --- |
| 1 1 0 | 30.05 | 99 |
| 0 1 3 | 30.17 | 98 |
| 1 0 3 | 34.90 | 100 |
| 1 2 3 | 50.18 | 48 |
| 2 1 3 | 59.57 | 43 |
| 0 3 3 | 59.66 | 14 |
| 1 1 6 | 59.76 | 28 |
| 2 2 0 | 62.46 | 12 |
| 0 2 6 | 62.72 | 12 |
| 2 2 6 | 84.22 | 21 |

Structure:
a b c (Å): 3.645 5.144 10.872
angles (deg): 90.00 90.00 90.00
Space group Pmmm (No. 47)
Unique sites:
Nd1 0.000 0.000 0.165 [2 per cell]
Nd2 0.500 0.500 0.333 [2 per cell]
Y1 0.000 0.000 0.500 [1 per cell]
Ho1 0.500 0.500 0.000 [1 per cell]